[1]
Structure and simulated X-ray diffraction stick pattern of CaNd3Dy (the GGA-PBE geometry in Alexandria; λ = 1.5418 Å (Cu Kα)).
Lines closer than 0.1° are merged.

Structure:
```
CaNd3Dy
1.0
3.1114 1.7964 11.8187
-3.1114 1.7964 11.8187
0.0000 -3.5927 11.8187
Ca Nd Dy
2 6 2
direct
0.1667 0.1667 0.1667
0.8333 0.8333 0.8333
0.0823 0.7489 0.4042
0.2511 0.5958 0.9177
0.4042 0.0823 0.7489
0.5958 0.9177 0.2511
0.7489 0.4042 0.0823
0.9177 0.2511 0.5958
0.3336 0.3336 0.3336
0.6664 0.6664 0.6664
```

Most intense lines, 10 to 90 degrees two-theta, sorted by position:
d_spacing	2theta	I_rel
5.909	15.0	28
3.009	29.7	100
2.955	30.2	42
2.753	32.5	94
2.442	36.8	61
1.796	50.8	30
1.664	55.2	22
1.535	60.3	33



[2]
Structure and simulated X-ray diffraction stick pattern of CaNd7Dy3 (the GGA-PBE geometry in Alexandria; λ = 1.5418 Å (Cu Kα)).
Lines closer than 0.1° are merged.

Structure:
```
CaNd7Dy3
1.0
7.2544 0.0000 0.0000
-3.6272 6.2825 0.0000
0.0000 0.0000 8.7696
Ca Nd Dy
1 7 3
direct
0.0000 0.0000 0.0000
0.0030 0.5015 0.0106
0.3333 0.6667 0.6801
0.3380 0.1690 0.6607
0.4985 0.5015 0.0106
0.4985 0.9970 0.0106
0.8310 0.1690 0.6607
0.8310 0.6620 0.6607
0.1690 0.3380 0.3428
0.1690 0.8310 0.3428
0.6620 0.8310 0.3428
```

Most intense lines, 10 to 90 degrees two-theta, sorted by position:
d_spacing	2theta	I_rel
2.957	30.2	100
2.923	30.6	32
2.554	35.1	67
1.814	50.3	24
1.798	50.8	23
1.546	59.8	14
1.541	60.0	28
1.531	60.5	13



[3]
Structure and simulated X-ray diffraction stick pattern of CaNd5Dy3 (the GGA-PBE geometry in Alexandria; λ = 1.5418 Å (Cu Kα)).
Lines closer than 0.1° are merged.

Structure:
```
CaNd5Dy3
1.0
8.6601 -5.0048 0.0000
8.6601 5.0048 0.0000
0.0000 0.0000 7.1269
Ca Nd Dy
2 10 6
direct
0.1827 0.8173 0.7500
0.8173 0.1827 0.2500
0.1391 0.4965 0.7500
0.1590 0.8410 0.2500
0.1944 0.4945 0.2500
0.4945 0.1944 0.7500
0.4965 0.1391 0.2500
0.5035 0.8609 0.7500
0.5055 0.8056 0.2500
0.8056 0.5055 0.7500
0.8410 0.1590 0.7500
0.8609 0.5035 0.2500
0.1669 0.1669 0.0000
0.1669 0.1669 0.5000
0.5000 0.5000 0.0000
0.5000 0.5000 0.5000
0.8331 0.8331 0.0000
0.8331 0.8331 0.5000
```

Most intense lines, 10 to 90 degrees two-theta, sorted by position:
d_spacing	2theta	I_rel
2.902	30.8	100
2.888	31.0	96
2.047	44.2	35
1.670	55.0	41
1.667	55.1	10
1.516	61.1	28
1.293	73.2	13
1.217	78.6	11



[4]
Structure and simulated X-ray diffraction stick pattern of CaNd4Dy6 (the GGA-PBE geometry in Alexandria; λ = 1.5418 Å (Cu Kα)).
Lines closer than 0.1° are merged.

Structure:
```
CaNd4Dy6
1.0
-3.9012 3.9012 6.6009
3.9012 -3.9012 6.6009
3.9012 3.9012 -6.6009
Ca Nd Dy
1 4 6
direct
0.0000 0.0000 0.0000
0.0562 0.0562 0.4925
0.4364 0.9438 0.0000
0.5636 0.5636 0.5075
0.9438 0.4364 0.0000
0.0000 0.5000 0.5000
0.2632 0.5817 0.0000
0.4183 0.4183 0.6815
0.5000 0.0000 0.5000
0.5817 0.2632 0.0000
0.7368 0.7368 0.3185
```

Most intense lines, 10 to 90 degrees two-theta, sorted by position:
d_spacing	2theta	I_rel
6.717	13.2	46
3.359	26.5	57
2.832	31.6	100
2.759	32.5	46
2.734	32.8	38
2.549	35.2	36
2.311	39.0	44
1.687	54.4	35



[5]
Structure and simulated X-ray diffraction stick pattern of CaNd4Dy3 (the GGA-PBE geometry in Alexandria; λ = 1.5418 Å (Cu Kα)).
Lines closer than 0.1° are merged.

Structure:
```
CaNd4Dy3
1.0
7.2734 0.0000 0.0000
0.0000 7.2969 0.0000
0.0000 0.0000 10.2583
Ca Nd Dy
2 8 6
direct
0.0000 0.0000 0.0000
0.5000 0.0000 0.5000
0.0000 0.0000 0.5000
0.0000 0.5000 0.5000
0.2500 0.2563 0.2500
0.2500 0.7437 0.7500
0.5000 0.0000 0.0000
0.5000 0.5000 0.0000
0.7500 0.2563 0.2500
0.7500 0.7437 0.7500
0.0000 0.5000 0.0000
0.2500 0.2589 0.7500
0.2500 0.7411 0.2500
0.5000 0.5000 0.5000
0.7500 0.2589 0.7500
0.7500 0.7411 0.2500
```

Most intense lines, 10 to 90 degrees two-theta, sorted by position:
d_spacing	2theta	I_rel
2.970	30.1	100
2.576	34.8	34
2.565	35.0	17
1.818	50.2	30
1.554	59.5	14
1.551	59.6	14
1.548	59.7	14
1.180	81.6	9



[6]
Structure and simulated X-ray diffraction stick pattern of CaNd12Dy2 (the GGA-PBE geometry in Alexandria; λ = 1.5418 Å (Cu Kα)).
Lines closer than 0.1° are merged.

Structure:
```
CaNd12Dy2
1.0
3.6017 -5.8479 0.0000
3.6017 5.8479 0.0000
0.0000 0.0000 25.5028
Ca Nd Dy
2 24 4
direct
0.2500 0.7500 0.0004
0.7500 0.2500 0.9996
0.0014 0.5014 0.1386
0.0010 0.9990 0.9180
0.0194 0.5194 0.5835
0.0241 0.9759 0.4409
0.2500 0.2500 0.2034
0.2500 0.2500 0.3278
0.2500 0.2500 0.6722
0.2500 0.2500 0.7966
0.4759 0.5241 0.4409
0.4806 0.9806 0.5835
0.4990 0.5010 0.9180
0.4986 0.9986 0.1386
0.5014 0.0014 0.8614
0.5010 0.4990 0.0820
0.5194 0.0194 0.4165
0.5241 0.4759 0.5591
0.7500 0.7500 0.2034
0.7500 0.7500 0.3278
0.7500 0.7500 0.6722
0.7500 0.7500 0.7966
0.9759 0.0241 0.5591
0.9806 0.4806 0.4165
0.9990 0.0010 0.0820
0.9986 0.4986 0.8614
0.2500 0.7500 0.2745
0.2500 0.7500 0.7291
0.7500 0.2500 0.2709
0.7500 0.2500 0.7255
```

Most intense lines, 10 to 90 degrees two-theta, sorted by position:
d_spacing	2theta	I_rel
3.092	28.9	65
2.982	30.0	100
2.924	30.6	81
2.799	32.0	41
2.764	32.4	47
2.487	36.1	29
1.949	46.6	27
1.622	56.8	30



[7]
Structure and simulated X-ray diffraction stick pattern of CaNd7Dy12 (the GGA-PBE geometry in Alexandria; λ = 1.5418 Å (Cu Kα)).
Lines closer than 0.1° are merged.

Structure:
```
CaNd7Dy12
1.0
-5.6915 5.6915 5.6915
5.6915 -5.6915 5.6915
5.6915 5.6915 -5.6915
Ca Nd Dy
1 7 12
direct
0.0000 0.0000 0.0000
0.0000 0.0000 0.5000
0.0000 0.5000 0.0000
0.0000 0.5000 0.5000
0.5000 0.0000 0.0000
0.5000 0.0000 0.5000
0.5000 0.5000 0.0000
0.5000 0.5000 0.5000
0.0000 0.2541 0.7459
0.0000 0.7459 0.2541
0.2541 0.0000 0.7459
0.2541 0.2541 0.5082
0.2541 0.5082 0.2541
0.2541 0.7459 0.0000
0.4918 0.7459 0.7459
0.5082 0.2541 0.2541
0.7459 0.0000 0.2541
0.7459 0.2541 0.0000
0.7459 0.4918 0.7459
0.7459 0.7459 0.4918
```

Most intense lines, 10 to 90 degrees two-theta, sorted by position:
d_spacing	2theta	I_rel
5.691	15.6	34
3.286	27.1	73
2.846	31.4	100
2.012	45.1	74
1.716	53.4	33
1.643	56.0	26
1.273	74.6	33
1.162	83.1	25



[8]
Structure and simulated X-ray diffraction stick pattern of CaDy4Ni4 (the GGA-PBE geometry in Alexandria; λ = 1.5418 Å (Cu Kα)).
Lines closer than 0.1° are merged.

Structure:
```
CaDy4Ni4
1.0
8.7789 0.0000 0.0000
0.0000 8.7789 0.0000
0.0000 0.0000 5.4516
Ca Dy Ni
2 8 8
direct
0.2500 0.2500 0.2500
0.7500 0.7500 0.7500
0.0763 0.6582 0.1480
0.1582 0.9237 0.6480
0.3418 0.5763 0.6480
0.4237 0.8418 0.1480
0.5763 0.1582 0.8520
0.6582 0.4237 0.3520
0.8418 0.0763 0.3520
0.9237 0.3418 0.8520
0.0380 0.6093 0.6404
0.1094 0.9620 0.1404
0.3906 0.5380 0.1404
0.4620 0.8906 0.6404
0.5380 0.1094 0.3596
0.6093 0.4620 0.8596
0.8906 0.0380 0.8596
0.9620 0.3906 0.3596
```

Most intense lines, 10 to 90 degrees two-theta, sorted by position:
d_spacing	2theta	I_rel
6.208	14.3	56
3.186	28.0	49
2.776	32.2	100
2.603	34.5	60
1.995	45.5	32
1.963	46.2	35
1.816	50.2	26
1.678	54.7	25